Structure and calculated X-ray powder pattern of Mg2Fe5Si8O24 (a cell relaxed with GGA+U; Cu Kα, 1.54184 Å).

Atomic structure:
Cell lengths 10.362, 10.362, 5.379 Å; angles 95.36, 95.36, 124.31 degrees
Element x y z (fractional)
Mg 0.000 0.000 0.000
Mg 0.822 0.178 0.000
Fe 0.080 0.920 0.500
Fe 0.562 0.438 0.500
Fe 0.642 0.358 0.000
Fe 0.743 0.257 0.500
Fe 0.899 0.101 0.500
Si 0.024 0.549 0.271
Si 0.191 0.381 0.271
Si 0.284 0.308 0.775
Si 0.356 0.049 0.225
Si 0.451 0.976 0.729
Si 0.619 0.809 0.729
Si 0.692 0.716 0.225
Si 0.951 0.644 0.775
O 0.023 0.203 0.211
O 0.039 0.656 0.056
O 0.052 0.651 0.548
O 0.113 0.130 0.714
O 0.162 0.519 0.272
O 0.195 0.041 0.228
O 0.290 0.408 0.549
O 0.298 0.397 0.056
O 0.344 0.961 0.944
O 0.349 0.948 0.452
O 0.444 0.316 0.768
O 0.481 0.838 0.728
O 0.527 0.225 0.294
O 0.592 0.710 0.451
O 0.603 0.702 0.944
O 0.620 0.152 0.787
O 0.684 0.556 0.232
O 0.717 0.075 0.298
O 0.775 0.473 0.706
O 0.797 0.977 0.789
O 0.848 0.380 0.213
O 0.870 0.887 0.286
O 0.925 0.283 0.702
O 0.959 0.805 0.772

The 10 most intense peaks (15 to 90 degrees two-theta), in order of rising 2θ:
d (Å)  I_rel
3.494  67
3.295  49
3.116  97
2.778  100
2.643  60
2.528  78
2.216  63
1.683  45
1.610  32
1.421  42

=====

Structure and calculated X-ray powder pattern of MgFe6O10F2 (a cell relaxed with GGA+U; Cu Kα, 1.54184 Å).

Atomic structure:
Cell lengths 5.697, 5.935, 7.553 Å; angles 107.48, 98.30, 111.61 degrees
Element x y z (fractional)
Mg 0.000 0.000 0.000
Fe 0.350 0.529 0.350
Fe 0.377 0.935 0.784
Fe 0.633 0.075 0.213
Fe 0.668 0.484 0.656
Fe 0.993 0.498 0.980
Fe 0.995 0.053 0.525
O 0.029 0.177 0.305
O 0.283 0.860 0.016
O 0.362 0.158 0.637
O 0.432 0.650 0.628
O 0.591 0.363 0.384
O 0.636 0.851 0.355
O 0.731 0.153 0.982
O 0.740 0.627 0.923
O 0.915 0.338 0.695
O 0.984 0.853 0.694
F 0.083 0.654 0.275
F 0.265 0.361 0.048

The 10 most intense peaks (15 to 90 degrees two-theta), in order of rising 2θ:
d (Å)  I_rel
3.778  100
3.264  96
2.544  48
2.534  26
2.512  25
2.485  25
2.327  18
1.676  18
1.632  19
1.463  20